(1)
LiCuNiRh: simulated X-ray diffraction stick pattern (copper Kα), based on a structure optimized by DFT (PBE).

The 12 most intense peaks (10 to 90 degrees two-theta), sorted by position:
- d = 4.244 Å, I = 34
- d = 4.200 Å, I = 38
- d = 2.220 Å, I = 21
- d = 2.215 Å, I = 12
- d = 2.124 Å, I = 100
- d = 2.100 Å, I = 32
- d = 1.834 Å, I = 63
- d = 1.302 Å, I = 19
- d = 1.291 Å, I = 18
- d = 1.110 Å, I = 12
- d = 1.107 Å, I = 15
- d = 1.100 Å, I = 11

Cell and atoms:
```
LiCuNiRh
1.0
4.462 0.000 0.000
0.000 2.606 0.000
-1.521 0.000 4.244
Li Cu Ni Rh
1 1 1 1
Cartesian
0.000 0.000 0.000
2.231 1.303 0.000
-0.760 1.303 2.122
1.471 0.000 2.122
```



(2)
PmSm3Y3Te8: simulated X-ray diffraction stick pattern (copper Kα), based on a structure optimized by DFT (PBE).

The 12 most intense peaks (10 to 90 degrees two-theta), sorted by position:
- d = 7.169 Å, I = 5
- d = 3.744 Å, I = 7
- d = 3.105 Å, I = 100
- d = 2.849 Å, I = 6
- d = 2.390 Å, I = 2
- d = 2.195 Å, I = 75
- d = 1.792 Å, I = 27
- d = 1.617 Å, I = 3
- d = 1.552 Å, I = 12
- d = 1.388 Å, I = 33
- d = 1.267 Å, I = 24
- d = 1.098 Å, I = 8

Cell and atoms:
```
PmSm3Y3Te8
1.0
4.390 2.534 7.172
-4.390 2.534 7.172
0.000 -5.069 7.172
Pm Sm Y Te
1 3 3 8
Cartesian
0.000 0.000 0.000
-4.390 0.000 10.758
-2.195 1.267 3.586
2.195 1.267 3.586
-2.195 -1.267 7.172
-2.195 1.267 14.344
0.000 2.534 7.172
0.000 0.000 5.426
0.000 -2.430 8.993
-2.104 1.215 8.993
-2.104 -1.215 12.523
2.104 1.215 8.993
2.104 -1.215 12.523
0.000 2.430 12.523
0.000 0.000 16.091
```



(3)
Tb5HoMg6: simulated X-ray diffraction stick pattern (copper Kα), based on a structure optimized by DFT (PBE).

The 12 most intense peaks (10 to 90 degrees two-theta), sorted by position:
- d = 3.801 Å, I = 42
- d = 3.782 Å, I = 21
- d = 2.683 Å, I = 100
- d = 2.191 Å, I = 19
- d = 1.901 Å, I = 12
- d = 1.699 Å, I = 18
- d = 1.693 Å, I = 9
- d = 1.551 Å, I = 25
- d = 1.547 Å, I = 12
- d = 1.341 Å, I = 8
- d = 1.264 Å, I = 7
- d = 1.202 Å, I = 11

Cell and atoms:
```
Tb5HoMg6
1.0
5.377 0.000 0.000
0.000 7.564 0.000
-2.685 0.000 8.062
Tb Ho Mg
5 1 6
Cartesian
0.000 0.000 0.000
0.007 0.000 5.370
0.007 3.782 5.384
2.684 3.782 2.678
2.685 0.000 2.692
0.000 3.782 0.000
-0.006 1.895 2.686
-0.006 5.669 2.686
2.688 1.894 0.000
2.688 5.671 0.000
2.698 1.895 5.377
2.698 5.669 5.377
```



(4)
Ac10Pm4Pr: simulated X-ray diffraction stick pattern (copper Kα), based on a structure optimized by DFT (PBE).

The 12 most intense peaks (10 to 90 degrees two-theta), sorted by position:
- d = 4.803 Å, I = 14
- d = 4.160 Å, I = 29
- d = 2.942 Å, I = 100
- d = 2.509 Å, I = 8
- d = 2.402 Å, I = 10
- d = 2.082 Å, I = 13
- d = 1.862 Å, I = 9
- d = 1.698 Å, I = 41
- d = 1.470 Å, I = 9
- d = 1.317 Å, I = 12
- d = 1.112 Å, I = 15
- d = 1.111 Å, I = 7

Cell and atoms:
```
Ac10Pm4Pr
1.0
-6.584 6.584 4.152
6.584 -6.584 4.152
6.584 6.584 -4.152
Ac Pm Pr
10 4 1
Cartesian
5.266 3.942 -2.081
2.641 -1.318 2.070
6.584 0.000 2.076
3.942 7.902 -2.081
1.318 2.641 2.070
5.266 3.942 2.081
2.641 -1.318 6.233
0.000 6.584 2.076
3.942 7.902 2.081
1.318 2.641 6.233
3.948 1.319 0.000
5.265 -2.636 4.152
1.319 9.220 0.000
2.636 5.265 4.152
0.000 0.000 4.152
```



What did the second record say?
PmSm3Y3Te8: simulated X-ray diffraction stick pattern (copper Kα), based on a structure optimized by DFT (PBE).

The 12 most intense peaks (10 to 90 degrees two-theta), sorted by position:
- d = 7.169 Å, I = 5
- d = 3.744 Å, I = 7
- d = 3.105 Å, I = 100
- d = 2.849 Å, I = 6
- d = 2.390 Å, I = 2
- d = 2.195 Å, I = 75
- d = 1.792 Å, I = 27
- d = 1.617 Å, I = 3
- d = 1.552 Å, I = 12
- d = 1.388 Å, I = 33
- d = 1.267 Å, I = 24
- d = 1.098 Å, I = 8

Cell and atoms:
```
PmSm3Y3Te8
1.0
4.390 2.534 7.172
-4.390 2.534 7.172
0.000 -5.069 7.172
Pm Sm Y Te
1 3 3 8
Cartesian
0.000 0.000 0.000
-4.390 0.000 10.758
-2.195 1.267 3.586
2.195 1.267 3.586
-2.195 -1.267 7.172
-2.195 1.267 14.344
0.000 2.534 7.172
0.000 0.000 5.426
0.000 -2.430 8.993
-2.104 1.215 8.993
-2.104 -1.215 12.523
2.104 1.215 8.993
2.104 -1.215 12.523
0.000 2.430 12.523
0.000 0.000 16.091
```



Copy entry 3 word for word.
Tb5HoMg6: simulated X-ray diffraction stick pattern (copper Kα), based on a structure optimized by DFT (PBE).

The 12 most intense peaks (10 to 90 degrees two-theta), sorted by position:
- d = 3.801 Å, I = 42
- d = 3.782 Å, I = 21
- d = 2.683 Å, I = 100
- d = 2.191 Å, I = 19
- d = 1.901 Å, I = 12
- d = 1.699 Å, I = 18
- d = 1.693 Å, I = 9
- d = 1.551 Å, I = 25
- d = 1.547 Å, I = 12
- d = 1.341 Å, I = 8
- d = 1.264 Å, I = 7
- d = 1.202 Å, I = 11

Cell and atoms:
```
Tb5HoMg6
1.0
5.377 0.000 0.000
0.000 7.564 0.000
-2.685 0.000 8.062
Tb Ho Mg
5 1 6
Cartesian
0.000 0.000 0.000
0.007 0.000 5.370
0.007 3.782 5.384
2.684 3.782 2.678
2.685 0.000 2.692
0.000 3.782 0.000
-0.006 1.895 2.686
-0.006 5.669 2.686
2.688 1.894 0.000
2.688 5.671 0.000
2.698 1.895 5.377
2.698 5.669 5.377
```